Structure and simulated X-ray diffraction stick pattern of RbLuAsSe3 (a DFT-relaxed cell (GGA-PBE, OQMD); λ = 1.5418 Å (Cu Kα)).
Neutral-atom scattering factors, no anomalous dispersion.

Crystal structure
Cell: 8.048 8.048 11.406 Å, 90.00 90.00 148.89°
Sites, in units of the cell vectors:
Rb 0.226 0.774 0.750
Rb 0.774 0.226 0.250
Lu 0.500 0.500 0.000
Lu 0.500 0.500 0.500
As 0.089 0.911 0.250
As 0.911 0.089 0.750
Se 0.119 0.881 0.014
Se 0.119 0.881 0.486
Se 0.496 0.504 0.750
Se 0.504 0.496 0.250
Se 0.881 0.119 0.514
Se 0.881 0.119 0.986

Largest 6 diffraction maxima, in order of rising 2θ, 10 to 90 degrees two-theta:
2θ 11.41, rel. 100
2θ 26.91, rel. 94
2θ 31.37, rel. 64
2θ 35.64, rel. 47
2θ 41.81, rel. 86
2θ 48.21, rel. 38